Record 1
This entry pairs a crystal structure of Na2PaCoO4 with its theoretical powder X-ray diffraction pattern. Radiation: a wavelength of 1.5418 Å. Structure: a PBE+U-relaxed structure.

Principal peaks in the range 2θ from 10° to 90°, most intense first:
hkl 1 1 2, d 2.748, 32.58 deg, intensity 100
hkl 1 0 1, d 4.195, 21.18 deg, intensity 91
hkl 0 0 2, d 5.154, 17.20 deg, intensity 75
hkl 2 0 0, d 2.297, 39.23 deg, intensity 52
hkl 1 1 0, d 3.248, 27.46 deg, intensity 47
hkl 2 0 4, d 1.715, 53.44 deg, intensity 36
hkl 0 0 4, d 2.577, 34.81 deg, intensity 32
hkl 2 0 2, d 2.098, 43.12 deg, intensity 30
hkl 2 1 1, d 2.015, 45.00 deg, intensity 27
hkl 3 1 2, d 1.398, 66.93 deg, intensity 25

Structure:
```
data_Na2PaCoO4
_chemical_formula_sum 'Na4 Pa2 Co2 O8'
_cell_length_a 4.593
_cell_length_b 4.593
_cell_length_c 10.308
_cell_angle_alpha 90.00
_cell_angle_beta 90.00
_cell_angle_gamma 90.00
_space_group_name_H-M_alt 'I 4/m m m'
_space_group_IT_number 139
_space_group_name_Hall '-I 4 2'
loop_
_atom_site_label
_atom_site_fract_x
_atom_site_fract_y
_atom_site_fract_z
Na1 0.000 0.500 0.250
Pa1 0.000 0.000 0.000
Co1 0.000 0.000 0.500
O1 0.000 0.000 0.199
O2 0.000 0.500 0.000
```



Record 2
This entry pairs a crystal structure of NaCo2PtO4 with its theoretical powder X-ray diffraction pattern. Radiation: a wavelength of 1.5418 Å. Structure: a PBE+U-relaxed structure.

Principal peaks in the range 2θ from 10° to 90°, most intense first:
hkl 1 1 2, d 2.608, 34.38 deg, intensity 100
hkl 1 0 1, d 4.276, 20.77 deg, intensity 96
hkl 3 1 2, d 1.518, 61.05 deg, intensity 44
hkl 2 0 0, d 2.640, 33.96 deg, intensity 43
hkl 2 1 1, d 2.246, 40.15 deg, intensity 35
hkl 2 2 0, d 1.867, 48.79 deg, intensity 22
hkl 2 1 3, d 1.693, 54.16 deg, intensity 17
hkl 2 0 4, d 1.500, 61.86 deg, intensity 16
hkl 1 0 3, d 2.208, 40.88 deg, intensity 13
hkl 2 2 4, d 1.304, 72.48 deg, intensity 13

Structure:
```
data_NaCo2PtO4
_chemical_formula_sum 'Na2 Co4 Pt2 O8'
_cell_length_a 5.279
_cell_length_b 5.279
_cell_length_c 7.291
_cell_angle_alpha 90.00
_cell_angle_beta 90.00
_cell_angle_gamma 90.00
_space_group_name_H-M_alt 'I -4 2 m'
_space_group_IT_number 121
_space_group_name_Hall 'I -4 2'
loop_
_atom_site_label
_atom_site_fract_x
_atom_site_fract_y
_atom_site_fract_z
Na1 0.000 0.000 0.000
Co1 0.000 0.500 0.250
Pt1 0.000 0.000 0.500
O1 0.178 0.178 0.280
```



Record 3
This entry pairs a crystal structure of Na4PuCo3O8 with its theoretical powder X-ray diffraction pattern. Radiation: a wavelength of 1.5418 Å. Structure: a PBE+U-relaxed structure.

Principal peaks in the range 2θ from 10° to 90°, most intense first:
hkl 0 2 4, d 2.268, 39.75 deg, intensity 100
hkl 0 0 3, d 5.469, 16.21 deg, intensity 100
hkl 1 0 1, d 5.166, 17.16 deg, intensity 58
hkl 2 0 2, d 2.583, 34.73 deg, intensity 54
hkl 0 1 2, d 4.535, 19.57 deg, intensity 43
hkl 0 2 1, d 2.685, 33.37 deg, intensity 38
hkl 2 2 0, d 1.571, 58.77 deg, intensity 32
hkl 2 0 8, d 1.638, 56.16 deg, intensity 31
hkl 1 1 3, d 2.725, 32.87 deg, intensity 26
hkl 0 0 6, d 2.734, 32.75 deg, intensity 23

Structure:
```
data_Na4PuCo3O8
_chemical_formula_sum 'Na12 Pu3 Co9 O24'
_cell_length_a 6.2850
_cell_length_b 6.2850
_cell_length_c 16.4057
_cell_angle_alpha 90.00
_cell_angle_beta 90.00
_cell_angle_gamma 120.00
_space_group_name_H-M_alt 'R -3 m'
_space_group_IT_number 166
_space_group_name_Hall '-R 3 2"'
loop_
_atom_site_label
_atom_site_fract_x
_atom_site_fract_y
_atom_site_fract_z
Na1 0.0000 0.0000 0.0000
Na2 0.0000 0.5000 0.0000
Pu1 0.0000 0.0000 0.5000
Co1 0.0000 0.5000 0.5000
O1 0.0000 0.0000 0.2276
O2 0.0134 0.5067 0.2387
```



Record 4
This entry pairs a crystal structure of Na2PuCoO5 with its theoretical powder X-ray diffraction pattern. Radiation: a wavelength of 1.5418 Å. Structure: a PBE+U-relaxed structure.

Principal peaks in the range 2θ from 10° to 90°, most intense first:
hkl 0 0 1, d 6.964, 12.71 deg, intensity 100
hkl 2 0 1, d 2.675, 33.51 deg, intensity 48
hkl 1 1 1, d 3.531, 25.22 deg, intensity 40
hkl 2 0 2, d 2.227, 40.51 deg, intensity 36
hkl 0 0 2, d 3.482, 25.58 deg, intensity 31
hkl 2 0 3, d 1.811, 50.38 deg, intensity 25
hkl 1 1 0, d 4.097, 21.69 deg, intensity 25
hkl 2 2 1, d 1.965, 46.20 deg, intensity 20
hkl 2 2 0, d 2.048, 44.22 deg, intensity 19
hkl 2 0 0, d 2.897, 30.87 deg, intensity 19

Structure:
```
data_Na2PuCoO5
_chemical_formula_sum 'Na4 Pu2 Co2 O10'
_cell_length_a 5.794
_cell_length_b 5.794
_cell_length_c 6.964
_cell_angle_alpha 90.00
_cell_angle_beta 90.00
_cell_angle_gamma 90.00
_space_group_name_H-M_alt 'P 4/m b m'
_space_group_IT_number 127
_space_group_name_Hall '-P 4 2ab'
loop_
_atom_site_label
_atom_site_fract_x
_atom_site_fract_y
_atom_site_fract_z
Na1 0.176 0.324 0.000
Pu1 0.000 0.500 0.500
Co1 0.000 0.000 0.500
O1 0.000 0.000 0.000
O2 0.204 0.704 0.324
```



Record 5
This entry pairs a crystal structure of Rb2Na4Co2O5 with its theoretical powder X-ray diffraction pattern. Radiation: a wavelength of 1.5418 Å. Structure: a PBE+U-relaxed structure.

Principal peaks in the range 2θ from 10° to 90°, most intense first:
hkl 2 0 2, d 2.760, 32.44 deg, intensity 100
hkl 2 1 2, d 2.541, 35.32 deg, intensity 49
hkl 0 0 2, d 5.173, 17.14 deg, intensity 44
hkl 2 2 0, d 2.307, 39.05 deg, intensity 42
hkl 2 0 0, d 3.262, 27.34 deg, intensity 30
hkl 0 0 4, d 2.587, 34.68 deg, intensity 29
hkl 4 1 2, d 1.513, 61.26 deg, intensity 24
hkl 0 0 6, d 1.722, 53.18 deg, intensity 23
hkl 2 1 0, d 2.918, 30.64 deg, intensity 22
hkl 2 1 4, d 1.936, 46.94 deg, intensity 21

Structure:
```
data_Rb2Na4Co2O5
_chemical_formula_sum 'Rb4 Na8 Co4 O10'
_cell_length_a 6.524
_cell_length_b 6.524
_cell_length_c 10.346
_cell_angle_alpha 90.00
_cell_angle_beta 90.00
_cell_angle_gamma 90.00
_space_group_name_H-M_alt 'P 42/m n m'
_space_group_IT_number 136
_space_group_name_Hall '-P 4n 2n'
loop_
_atom_site_label
_atom_site_fract_x
_atom_site_fract_y
_atom_site_fract_z
Rb1 0.196 0.196 0.000
Na1 0.000 0.000 0.278
Na2 0.000 0.500 0.250
Co1 0.210 0.210 0.500
O1 0.000 0.000 0.500
O2 0.218 0.782 0.164
```



Record 6
This entry pairs a crystal structure of Na3Co2ReO6 with its theoretical powder X-ray diffraction pattern. Radiation: a wavelength of 1.5418 Å. Structure: a PBE+U-relaxed structure.

Principal peaks in the range 2θ from 10° to 90°, most intense first:
hkl 1 3 1, d 2.240, 40.26 deg, intensity 100
hkl 0 0 1, d 5.371, 16.51 deg, intensity 97
hkl 2 0 0, d 2.556, 35.11 deg, intensity 52
hkl 1 3 0, d 2.658, 33.73 deg, intensity 43
hkl 2 0 2, d 1.613, 57.09 deg, intensity 29
hkl 0 6 0, d 1.556, 59.40 deg, intensity 28
hkl 1 1 0, d 4.481, 19.81 deg, intensity 28
hkl 1 1 -1, d 4.042, 21.99 deg, intensity 22
hkl 0 0 2, d 2.685, 33.37 deg, intensity 22
hkl 0 6 1, d 1.495, 62.10 deg, intensity 16

Structure:
```
data_Na3Co2ReO6
_chemical_formula_sum 'Na6 Co4 Re2 O12'
_cell_length_a 5.390
_cell_length_b 9.338
_cell_length_c 5.667
_cell_angle_alpha 90.00
_cell_angle_beta 108.60
_cell_angle_gamma 90.00
_space_group_name_H-M_alt 'C 1 2/m 1'
_space_group_IT_number 12
loop_
_space_group_symop_operation_xyz
'x,y,z'
'-x,-y,-z'
'-x,y,-z'
'x,-y,z'
'x+1/2,y+1/2,z'
'-x+1/2,-y+1/2,-z'
'-x+1/2,y+1/2,-z'
'x+1/2,-y+1/2,z'
loop_
_atom_site_label
_atom_site_fract_x
_atom_site_fract_y
_atom_site_fract_z
Na1 0.000 0.000 0.000
Na2 0.000 0.328 0.000
Co1 0.000 0.167 0.500
Re1 0.000 0.500 0.500
O1 0.226 0.343 0.705
O2 0.245 0.500 0.297
```



Record 7
This entry pairs a crystal structure of NaCoRuO4 with its theoretical powder X-ray diffraction pattern. Radiation: a wavelength of 1.5418 Å. Structure: a PBE+U-relaxed structure.

Principal peaks in the range 2θ from 10° to 90°, most intense first:
hkl 1 0 1, d 4.947, 17.93 deg, intensity 100
hkl 1 2 1, d 2.586, 34.69 deg, intensity 55
hkl 2 2 0, d 2.127, 42.51 deg, intensity 43
hkl 0 1 1, d 5.005, 17.72 deg, intensity 40
hkl 2 2 4, d 1.534, 60.35 deg, intensity 38
hkl 1 0 3, d 2.645, 33.89 deg, intensity 27
hkl 2 1 1, d 2.562, 35.03 deg, intensity 23
hkl 0 0 4, d 2.214, 40.76 deg, intensity 23
hkl 0 2 2, d 2.503, 35.88 deg, intensity 21
hkl 2 0 2, d 2.473, 36.32 deg, intensity 18

Structure:
```
data_NaCoRuO4
_chemical_formula_sum 'Na4 Co4 Ru4 O16'
_cell_length_a 5.964
_cell_length_b 6.067
_cell_length_c 8.855
_cell_angle_alpha 90.00
_cell_angle_beta 90.00
_cell_angle_gamma 90.00
_space_group_name_H-M_alt 'I m m a'
_space_group_IT_number 74
_space_group_name_Hall '-I 2b 2'
loop_
_atom_site_label
_atom_site_fract_x
_atom_site_fract_y
_atom_site_fract_z
Na1 0.000 0.250 0.131
Co1 0.250 0.250 0.750
Ru1 0.000 0.000 0.500
O1 0.000 0.043 0.727
O2 0.223 0.250 0.529
```



Record 8
This entry pairs a crystal structure of Na2CoSbO4 with its theoretical powder X-ray diffraction pattern. Radiation: a wavelength of 1.5418 Å. Structure: a PBE+U-relaxed structure.

Principal peaks in the range 2θ from 10° to 90°, most intense first:
hkl 2 2 -1, d 2.477, 36.26 deg, intensity 100
hkl 1 1 -1, d 4.269, 20.81 deg, intensity 84
hkl 1 1 0, d 4.368, 20.33 deg, intensity 64
hkl 0 2 1, d 2.729, 32.81 deg, intensity 62
hkl 0 0 2, d 2.200, 41.03 deg, intensity 37
hkl 2 0 0, d 2.805, 31.90 deg, intensity 28
hkl 2 2 1, d 1.667, 55.08 deg, intensity 25
hkl 2 0 -2, d 2.703, 33.15 deg, intensity 25
hkl 2 2 -3, d 1.624, 56.70 deg, intensity 23
hkl 1 3 0, d 2.143, 42.17 deg, intensity 21

Structure:
```
data_Na2CoSbO4
_chemical_formula_sum 'Na4 Co2 Sb2 O8'
_cell_length_a 7.061
_cell_length_b 6.960
_cell_length_c 5.538
_cell_angle_alpha 90.00
_cell_angle_beta 127.39
_cell_angle_gamma 90.00
_space_group_name_H-M_alt 'C 1 2 1'
_space_group_IT_number 5
loop_
_space_group_symop_operation_xyz
'x,y,z'
'-x,y,-z'
'x+1/2,y+1/2,z'
'-x+1/2,y+1/2,-z'
loop_
_atom_site_label
_atom_site_fract_x
_atom_site_fract_y
_atom_site_fract_z
Na1 0.000 0.000 0.000
Na2 0.000 0.247 0.500
Co1 0.000 0.464 0.000
Sb1 0.000 0.733 0.500
O1 0.186 0.550 0.439
O2 0.244 0.287 0.045
```